(1)
This entry pairs a crystal structure of TbCo5P3 with its theoretical X-ray diffraction stick pattern. Radiation: CuKα. Structure: the PBE geometry in Alexandria.
Peak positions follow from Bragg's law for the DFT cell and can differ from measured ones.

Principal peaks in the range 2θ from 10° to 90°, sorted by position:
| 2theta | I (rel.) | (hkl) |
| --- | --- | --- |
| 27.2 | 16 | 1 1 1 |
| 28.4 | 34 | 0 2 3 |
| 32.5 | 21 | 0 4 1 |
| 34.5 | 38 | 1 3 0 |
| 35.4 | 100 | 1 1 3 |
| 38.1 | 46 | 1 3 2 |
| 39.8 | 17 | 0 4 3 |
| 41.4 | 47 | 1 1 4 |
| 47.4 | 18 | 1 5 0 |
| 50.9 | 33 | 2 0 0 |
| 53.6 | 18 | 1 5 3 |
| 60.7 | 20 | 1 3 6 |

Atomic structure:
Unit cell a=3.5874 b=11.3447 c=11.3041 alpha=90.00 beta=90.00 gamma=90.00
Space group Cmcm (No. 63)
Symmetry-distinct sites (fractional):
Tb  0.0000  0.1577  0.2500 x4
Co  0.0000  0.0000  0.0000 x4
Co  0.0000  0.1993  0.5708 x8
Co  0.0000  0.4462  0.1430 x8
P  0.0000  0.1110  0.7500 x4
P  0.0000  0.3833  0.5409 x8

***

(2)
This entry pairs a crystal structure of LiGe2Pd3 with its theoretical X-ray diffraction stick pattern. Radiation: CuKα. Structure: the PBE geometry in Alexandria.
Peak positions follow from Bragg's law for the DFT cell and can differ from measured ones.

Principal peaks in the range 2θ from 10° to 90°, sorted by position:
| 2theta | I (rel.) | (hkl) |
| --- | --- | --- |
| 14.5 | 8 | 0 0 1 |
| 28.5 | 17 | 1 3 0 |
| 29.2 | 8 | 0 0 2 |
| 40.7 | 26 | 2 0 0 |
| 40.8 | 25 | 0 6 0 |
| 41.3 | 100 | 1 3 2 |
| 59.1 | 17 | 2 6 0 |
| 60.5 | 8 | 0 0 4 |
| 74.5 | 17 | 3 3 2 |
| 74.7 | 16 | 1 9 2 |
| 75.5 | 16 | 2 0 4 |
| 89.6 | 11 | 2 6 4 |

Atomic structure:
Unit cell a=4.4297 b=13.2559 c=6.1232 alpha=90.00 beta=90.00 gamma=90.00
Space group Cmmm (No. 65)
Symmetry-distinct sites (fractional):
Li  0.0000  0.1683  0.0000 x4
Ge  0.0000  0.1707  0.5000 x4
Ge  0.0000  0.5000  0.0000 x2
Ge  0.0000  0.5000  0.5000 x2
Pd  0.0000  0.0000  0.2520 x4
Pd  0.0000  0.3381  0.2511 x8

***

(3)
This entry pairs a crystal structure of Nd4Tl2P with its theoretical X-ray diffraction stick pattern. Radiation: CuKα. Structure: the PBE geometry in Alexandria.
Peak positions follow from Bragg's law for the DFT cell and can differ from measured ones.

Principal peaks in the range 2θ from 10° to 90°, sorted by position:
| 2theta | I (rel.) | (hkl) |
| --- | --- | --- |
| 27.1 | 38 | 1 1 1 |
| 28.8 | 73 | 1 1 -2 |
| 29.6 | 69 | 3 1 -1 |
| 31.2 | 33 | 3 1 -2 |
| 32.4 | 100 | 4 0 -3 |
| 32.7 | 37 | 4 0 0 |
| 34.4 | 41 | 0 0 3 |
| 35.2 | 45 | 1 1 2 |
| 36.6 | 29 | 3 1 -3 |
| 42.6 | 38 | 0 2 0 |
| 54.3 | 28 | 7 1 -3 |
| 63.4 | 24 | 7 1 0 |

Atomic structure:
Unit cell a=12.9293 b=4.2404 c=9.2474 alpha=90.00 beta=122.14 gamma=90.00
Space group C2/m (No. 12)
Symmetry-distinct sites (fractional):
Nd  0.0870  0.0000  0.3539 x4
Nd  0.1644  0.5000  0.0683 x4
Tl  0.1317  0.5000  0.6667 x4
P  0.0000  0.0000  0.0000 x2

***

(4)
This entry pairs a crystal structure of Li8Bi2P with its theoretical X-ray diffraction stick pattern. Radiation: CuKα. Structure: the PBE geometry in Alexandria.
Peak positions follow from Bragg's law for the DFT cell and can differ from measured ones.

Principal peaks in the range 2θ from 10° to 90°, sorted by position:
| 2theta | I (rel.) | (hkl) |
| --- | --- | --- |
| 12.7 | 54 | 2 0 0 |
| 15.3 | 28 | 0 0 1 |
| 23.7 | 99 | 2 0 1 |
| 23.9 | 100 | 1 1 -1 |
| 27.1 | 38 | 3 1 -1 |
| 27.2 | 67 | 3 1 0 |
| 28.1 | 32 | 2 0 -2 |
| 35.0 | 18 | 4 0 1 |
| 39.2 | 18 | 0 2 0 |
| 39.6 | 65 | 1 1 2 |
| 45.9 | 30 | 5 1 1 |
| 46.3 | 34 | 2 2 1 |

Atomic structure:
Unit cell a=15.3491 b=4.5983 c=6.3440 alpha=90.00 beta=114.33 gamma=90.00
Space group C2/m (No. 12)
Symmetry-distinct sites (fractional):
Li  0.9999  0.0000  0.2297 x4
Li  0.1347  0.5000  0.3830 x4
Li  0.1355  0.5000  0.8879 x4
Li  0.1864  0.0000  0.1870 x4
Bi  0.1785  0.0000  0.6782 x4
P  0.0000  0.5000  0.0000 x2

***

(5)
This entry pairs a crystal structure of TbCe2Nb with its theoretical X-ray diffraction stick pattern. Radiation: CuKα. Structure: the PBE geometry in Alexandria.
Peak positions follow from Bragg's law for the DFT cell and can differ from measured ones.

Principal peaks in the range 2θ from 10° to 90°, sorted by position:
| 2theta | I (rel.) | (hkl) |
| --- | --- | --- |
| 30.3 | 68 | 0 0 12 |
| 32.7 | 21 | 1 0 1 |
| 33.0 | 100 | 0 1 2 |
| 35.1 | 41 | 0 1 5 |
| 37.3 | 46 | 1 0 7 |
| 41.7 | 33 | 1 0 10 |
| 49.0 | 45 | 0 1 14 |
| 58.3 | 34 | 1 1 0 |
| 60.0 | 13 | 1 0 19 |
| 67.1 | 41 | 1 1 12 |
| 68.6 | 12 | 2 0 2 |
| 78.4 | 13 | 0 1 26 |

Atomic structure:
Unit cell a=3.1670 b=3.1670 c=35.4021 alpha=90.00 beta=90.00 gamma=120.00
Space group R-3m (No. 166, hexagonal axes)
Symmetry-distinct sites (fractional):
Tb  0.0000  0.0000  0.0000 x3
Ce  0.0000  0.0000  0.4211 x6
Nb  0.0000  0.0000  0.5000 x3

***

(6)
This entry pairs a crystal structure of Rb2Zn2Au with its theoretical X-ray diffraction stick pattern. Radiation: CuKα. Structure: the PBE geometry in Alexandria.
Peak positions follow from Bragg's law for the DFT cell and can differ from measured ones.

Principal peaks in the range 2θ from 10° to 90°, sorted by position:
| 2theta | I (rel.) | (hkl) |
| --- | --- | --- |
| 18.4 | 23 | 1 0 1 |
| 19.5 | 100 | 1 0 3 |
| 27.5 | 89 | 1 0 9 |
| 29.4 | 44 | 1 1 6 |
| 34.7 | 23 | 1 1 10 |
| 35.0 | 48 | 1 0 13 |
| 37.0 | 54 | 2 0 0 |
| 38.2 | 33 | 2 0 4 |
| 42.2 | 28 | 2 1 3 |
| 46.7 | 42 | 2 1 9 |
| 51.9 | 31 | 2 1 13 |
| 58.4 | 30 | 1 1 22 |

Atomic structure:
Unit cell a=4.8559 b=4.8559 c=39.1866 alpha=90.00 beta=90.00 gamma=90.00
Space group I4_1/amd (No. 141, origin choice 2)
Symmetry-distinct sites (fractional):
Rb  0.0000  0.2500  0.0562 x8
Zn  0.0000  0.2500  0.1447 x8
Au  0.0000  0.2500  0.3750 x4

***

(7)
This entry pairs a crystal structure of Ho2BeCo6Si with its theoretical X-ray diffraction stick pattern. Radiation: CuKα. Structure: the PBE geometry in Alexandria.
Peak positions follow from Bragg's law for the DFT cell and can differ from measured ones.

Principal peaks in the range 2θ from 10° to 90°, sorted by position:
| 2theta | I (rel.) | (hkl) |
| --- | --- | --- |
| 21.6 | 18 | 2 0 0 |
| 30.7 | 34 | 2 2 0 |
| 37.8 | 100 | 2 2 2 |
| 43.9 | 59 | 4 0 0 |
| 49.4 | 10 | 4 2 0 |
| 54.5 | 14 | 4 2 2 |
| 63.9 | 37 | 4 4 0 |
| 68.2 | 5 | 4 4 2 |
| 72.5 | 7 | 6 2 0 |
| 76.7 | 34 | 6 2 2 |
| 80.7 | 12 | 4 4 4 |
| 88.8 | 8 | 6 4 2 |

Atomic structure:
Unit cell a=8.2457 b=8.2457 c=8.2457 alpha=90.00 beta=90.00 gamma=90.00
Space group Fm-3m (No. 225)
Symmetry-distinct sites (fractional):
Ho  0.2500  0.2500  0.2500 x8
Be  0.0000  0.0000  0.0000 x4
Co  0.0000  0.0000  0.2399 x24
Si  0.0000  0.0000  0.5000 x4

***

(8)
This entry pairs a crystal structure of Sr2Tc2As with its theoretical X-ray diffraction stick pattern. Radiation: CuKα. Structure: the PBE geometry in Alexandria.
Peak positions follow from Bragg's law for the DFT cell and can differ from measured ones.

Principal peaks in the range 2θ from 10° to 90°, sorted by position:
| 2theta | I (rel.) | (hkl) |
| --- | --- | --- |
| 18.2 | 19 | 0 0 4 |
| 27.4 | 26 | 0 0 6 |
| 28.6 | 28 | 1 0 3 |
| 34.1 | 58 | 1 0 5 |
| 36.9 | 100 | 0 0 8 |
| 40.3 | 41 | 1 1 4 |
| 51.3 | 28 | 2 0 0 |
| 60.0 | 35 | 1 1 10 |
| 63.0 | 19 | 2 1 5 |
| 64.8 | 16 | 2 0 8 |
| 87.1 | 20 | 2 2 8 |
| 89.2 | 16 | 2 0 14 |

Atomic structure:
Unit cell a=3.5631 b=3.5631 c=19.5011 alpha=90.00 beta=90.00 gamma=90.00
Space group I4/mmm (No. 139)
Symmetry-distinct sites (fractional):
Sr  0.0000  0.0000  0.1022 x4
Tc  0.0000  0.5000  0.2500 x4
As  0.0000  0.0000  0.5000 x2